Diffraction record for Nb3Bi5O15. The XRD peak list is theoretical, not measured: it uses a cell relaxed with GGA-PBE and Cu Kα (λ = 1.5418 Å).

Principal peaks in the range 5 to 70 degrees two-theta, in order of falling intensity:
- 27.70 deg, intensity 100, (4 1 1)
- 32.31 deg, intensity 29, (0 2 0)
- 54.85 deg, intensity 26, (4 3 1)
- 45.86 deg, intensity 26, (0 2 2)
- 11.98 deg, intensity 17, (3 0 0)
- 31.64 deg, intensity 15, (0 0 2)
- 46.35 deg, intensity 13, (8 2 0)
- 36.33 deg, intensity 12, (7 1 1)

Crystal structure
abc: 22.1651 5.5411 5.6549
angles: 90.00 90.00 90.00
Element x y z (fractional)
Nb 0.0000 0.0000 0.0000
Nb 0.0000 0.5000 0.5000
Nb 0.3934 0.0009 0.4565
Nb 0.3934 0.4991 0.9565
Nb 0.6066 0.5009 0.9565
Nb 0.6066 0.9991 0.4565
Bi 0.1232 0.5222 0.0678
Bi 0.1232 0.9778 0.5678
Bi 0.2397 0.0120 0.0335
Bi 0.2397 0.4880 0.5335
Bi 0.5000 0.0000 0.0409
Bi 0.5000 0.5000 0.5409
Bi 0.7603 0.5120 0.5335
Bi 0.7603 0.9880 0.0335
Bi 0.8768 0.0222 0.5678
Bi 0.8768 0.4778 0.0678
O 0.0227 0.2488 0.7074
O 0.0227 0.2512 0.2074
O 0.0848 0.6074 0.4321
O 0.0848 0.8926 0.9321
O 0.1894 0.2444 0.7734
O 0.1894 0.2556 0.2734
O 0.1918 0.7491 0.7612
O 0.1918 0.7509 0.2612
O 0.3121 0.0131 0.4485
O 0.3121 0.4869 0.9485
O 0.4112 0.7305 0.6687
O 0.4112 0.7695 0.1687
O 0.4137 0.2414 0.1792
O 0.4137 0.2586 0.6792
O 0.5000 0.0000 0.4193
O 0.5000 0.5000 0.9193
O 0.5863 0.7414 0.6792
O 0.5863 0.7586 0.1792
O 0.5888 0.2305 0.1687
O 0.5888 0.2695 0.6687
O 0.6879 0.5131 0.9485
O 0.6879 0.9869 0.4485
O 0.8082 0.2491 0.2612
O 0.8082 0.2509 0.7612
O 0.8106 0.7444 0.2734
O 0.8106 0.7556 0.7734
O 0.9152 0.1074 0.9321
O 0.9152 0.3926 0.4321
O 0.9773 0.7488 0.2074
O 0.9773 0.7512 0.7074